Record 1
Theoretical powder diffraction line list of Na2CoSiCO7 for Cu Kα (weighted mean of Kα1 and Kα2), from a GGA+U-relaxed structure.
Peak positions follow from Bragg's law for the DFT cell and can differ from measured ones.

Atomic structure:
a = 5.151 Å, b = 9.670 Å, c = 12.584 Å
α = 89.90°, β = 89.98°, γ = 89.16°
Space group P-1 (No. 2)
Symmetry-distinct sites (fractional):
Na (0.241, 0.257, 0.249)
Na (0.244, 0.258, 0.504)
Na (0.246, 0.257, 0.998)
Na (0.253, 0.259, 0.749)
Co (0.187, 0.899, 0.126)
Co (0.194, 0.878, 0.625)
Si (0.317, 0.923, 0.876)
Si (0.321, 0.932, 0.375)
C (0.255, 0.561, 0.126)
C (0.273, 0.571, 0.624)
O (0.037, 0.626, 0.128)
O (0.073, 0.654, 0.623)
O (0.177, 0.084, 0.377)
O (0.184, 0.079, 0.873)
O (0.229, 0.840, 0.985)
O (0.236, 0.440, 0.625)
O (0.238, 0.834, 0.769)
O (0.245, 0.843, 0.266)
O (0.252, 0.838, 0.481)
O (0.265, 0.429, 0.123)
O (0.358, 0.055, 0.627)
O (0.362, 0.071, 0.123)
O (0.466, 0.629, 0.126)
O (0.500, 0.379, 0.376)

Largest 10 diffraction maxima, low angle first, 2θ = 10–80°:
two_theta	I/Imax	hkl
16.81	79	0 1 -2
22.31	67	1 0 -2
25.08	39	1 2 0
25.45	69	1 -2 0
28.37	61	0 0 4
29.20	38	1 -2 2
33.00	45	1 -3 0
34.00	100	0 2 4
34.84	74	2 0 0
47.43	41	0 4 -4

---

Record 2
Theoretical powder diffraction line list of Na2CoSiCO7 for Cu Kα (weighted mean of Kα1 and Kα2), from a GGA+U-relaxed structure.
Peak positions follow from Bragg's law for the DFT cell and can differ from measured ones.

Atomic structure:
a = 9.588 Å, b = 6.308 Å, c = 10.297 Å
α = 90.00°, β = 90.77°, γ = 90.00°
Space group P2_1/m (No. 11)
Symmetry-distinct sites (fractional):
Na (0.239, 0.006, 0.128)
Na (0.242, 0.502, 0.615)
Co (0.366, 0.750, 0.909)
Co (0.399, 0.750, 0.395)
Si (0.425, 0.250, 0.848)
Si (0.435, 0.250, 0.337)
C (0.058, 0.750, 0.365)
C (0.077, 0.750, 0.865)
O (0.054, 0.250, 0.120)
O (0.075, 0.250, 0.632)
O (0.120, 0.750, 0.256)
O (0.130, 0.750, 0.470)
O (0.136, 0.750, 0.755)
O (0.158, 0.750, 0.969)
O (0.335, 0.040, 0.893)
O (0.343, 0.034, 0.367)
O (0.416, 0.750, 0.095)
O (0.418, 0.750, 0.580)
O (0.424, 0.250, 0.687)
O (0.459, 0.250, 0.177)

Largest 10 diffraction maxima, low angle first, 2θ = 10–80°:
two_theta	I/Imax	hkl
16.82	99	1 1 0
22.29	74	0 1 2
25.21	39	2 0 -2
25.56	87	2 0 2
28.30	69	0 2 0
33.19	49	3 0 2
34.03	100	2 2 0
34.85	80	0 0 4
47.66	44	4 2 0
49.70	42	2 2 4

---

Record 3
Theoretical powder diffraction line list of Na2CoSiCO7 for Cu Kα (weighted mean of Kα1 and Kα2), from a GGA+U-relaxed structure.
Peak positions follow from Bragg's law for the DFT cell and can differ from measured ones.

Atomic structure:
a = 5.155 Å, b = 6.334 Å, c = 9.020 Å
α = 90.00°, β = 92.10°, γ = 90.00°
Space group P2_1/m (No. 11)
Symmetry-distinct sites (fractional):
Na (0.237, 0.014, 0.257)
Co (0.210, 0.250, 0.842)
Si (0.288, 0.750, 0.932)
C (0.274, 0.250, 0.580)
O (0.050, 0.250, 0.642)
O (0.127, 0.750, 0.085)
O (0.215, 0.546, 0.825)
O (0.304, 0.250, 0.444)
O (0.396, 0.250, 0.030)
O (0.465, 0.250, 0.681)

Largest 10 diffraction maxima, low angle first, 2θ = 10–80°:
two_theta	I/Imax	hkl
17.11	100	0 1 1
22.24	53	1 1 0
24.62	27	1 1 1
25.78	58	1 0 -2
28.18	47	0 2 0
34.57	62	0 2 2
34.85	77	2 0 0
37.97	28	1 1 3
44.05	23	0 3 1
58.27	23	0 4 0

---

Record 4
Theoretical powder diffraction line list of Na2CoSiCO7 for Cu Kα (weighted mean of Kα1 and Kα2), from a GGA+U-relaxed structure.
Peak positions follow from Bragg's law for the DFT cell and can differ from measured ones.

Atomic structure:
a = 5.148 Å, b = 11.449 Å, c = 11.454 Å
α = 66.92°, β = 88.87°, γ = 88.84°
Space group P1 (No. 1)
Symmetry-distinct sites (fractional):
Na (0.000, 0.000, 0.000)
Na (0.001, 0.255, 0.743)
Na (0.007, 0.752, 0.246)
Na (0.009, 0.502, 0.495)
Na (0.507, 0.746, 0.739)
Na (0.511, 0.994, 0.491)
Na (0.522, 0.489, 0.986)
Na (0.526, 0.242, 0.232)
Co (0.559, 0.063, 0.806)
Co (0.570, 0.550, 0.293)
Co (0.955, 0.686, 0.930)
Co (0.957, 0.184, 0.429)
Si (0.081, 0.458, 0.203)
Si (0.083, 0.964, 0.709)
Si (0.437, 0.782, 0.028)
Si (0.438, 0.283, 0.525)
C (0.034, 0.534, 0.775)
C (0.038, 0.031, 0.279)
C (0.480, 0.211, 0.954)
C (0.500, 0.717, 0.462)
O (0.001, 0.307, 0.264)
O (0.003, 0.521, 0.051)
O (0.018, 0.023, 0.555)
O (0.019, 0.811, 0.768)
O (0.115, 0.773, 0.023)
O (0.116, 0.277, 0.517)
O (0.252, 0.187, 0.930)
O (0.263, 0.555, 0.800)
O (0.266, 0.058, 0.301)
O (0.282, 0.687, 0.430)
O (0.402, 0.461, 0.205)
O (0.404, 0.973, 0.716)
O (0.503, 0.784, 0.529)
O (0.504, 0.225, 0.678)
O (0.504, 0.935, 0.969)
O (0.510, 0.436, 0.462)
O (0.510, 0.718, 0.181)
O (0.527, 0.276, 0.019)
O (0.583, 0.707, 0.949)
O (0.586, 0.205, 0.450)
O (0.679, 0.167, 0.910)
O (0.712, 0.681, 0.425)
O (0.836, 0.580, 0.816)
O (0.839, 0.073, 0.325)
O (0.930, 0.040, 0.784)
O (0.942, 0.537, 0.281)
O (0.990, 0.469, 0.709)
O (0.996, 0.966, 0.214)

Largest 10 diffraction maxima, low angle first, 2θ = 10–80°:
two_theta	I/Imax	hkl
16.83	100	0 2 0
22.28	75	1 -1 1
25.13	37	1 2 2
25.75	84	-1 2 2
28.27	67	0 2 -2
33.45	40	-1 3 3
34.04	96	0 0 4
34.86	83	2 0 0
47.76	45	0 6 2
49.87	44	2 0 -4

---

Record 5
Theoretical powder diffraction line list of Na2CoSiCO7 for Cu Kα (weighted mean of Kα1 and Kα2), from a GGA+U-relaxed structure.
Peak positions follow from Bragg's law for the DFT cell and can differ from measured ones.

Atomic structure:
a = 5.133 Å, b = 11.613 Å, c = 11.620 Å
α = 65.30°, β = 88.88°, γ = 88.92°
Space group P1 (No. 1)
Symmetry-distinct sites (fractional):
Na (0.000, 0.000, 0.000)
Na (0.000, 0.499, 0.501)
Na (0.503, 0.743, 0.743)
Na (0.505, 0.241, 0.242)
Na (0.505, 0.493, 0.993)
Na (0.508, 0.991, 0.492)
Na (0.996, 0.250, 0.750)
Na (0.998, 0.749, 0.251)
Co (0.564, 0.802, 0.052)
Co (0.565, 0.297, 0.547)
Co (0.939, 0.443, 0.194)
Co (0.939, 0.945, 0.696)
Si (0.072, 0.208, 0.459)
Si (0.075, 0.710, 0.961)
Si (0.430, 0.533, 0.284)
Si (0.431, 0.034, 0.784)
C (0.014, 0.775, 0.527)
C (0.016, 0.277, 0.027)
C (0.486, 0.963, 0.214)
C (0.490, 0.466, 0.716)
O (0.000, 0.776, 0.809)
O (0.001, 0.212, 0.962)
O (0.009, 0.710, 0.461)
O (0.107, 0.529, 0.281)
O (0.109, 0.032, 0.781)
O (0.232, 0.806, 0.556)
O (0.238, 0.304, 0.055)
O (0.258, 0.938, 0.189)
O (0.268, 0.437, 0.689)
O (0.395, 0.211, 0.462)
O (0.397, 0.715, 0.965)
O (0.502, 0.531, 0.782)
O (0.507, 0.466, 0.436)
O (0.508, 0.684, 0.220)
O (0.508, 0.969, 0.935)
O (0.513, 0.185, 0.717)
O (0.517, 0.028, 0.279)
O (0.567, 0.456, 0.207)
O (0.567, 0.956, 0.708)
O (0.687, 0.923, 0.173)
O (0.699, 0.430, 0.679)
O (0.802, 0.810, 0.563)
O (0.808, 0.315, 0.064)
O (0.936, 0.787, 0.037)
O (0.938, 0.286, 0.535)
O (0.991, 0.057, 0.526)
O (0.995, 0.274, 0.307)
O (0.998, 0.558, 0.026)

Largest 10 diffraction maxima, low angle first, 2θ = 10–80°:
two_theta	I/Imax	hkl
16.80	61	0 2 0
22.39	58	1 1 -1
24.86	37	1 2 2
25.45	59	-1 2 2
28.48	54	0 2 -2
29.22	42	-1 3 1
32.89	39	-1 3 3
33.98	100	0 0 4
34.95	80	2 0 0
47.15	37	0 6 2